Entry 1:
The following is a computed powder diffraction line list of Cr2In2Cl7. It was derived from DFT lattice parameters and positions (PBE), using Cu Kα.
Intensities are scaled so that the largest is 100.

Structural model:
Lattice parameters (Å, degrees): 7.041 13.854 7.722 90.00 93.76 90.00
Space group P2_1/c (No. 14)
One atom of each set of equivalent atoms:
Cr 0.133 0.126 0.348 (multiplicity 4)
In 0.397 0.652 0.589 (multiplicity 4)
Cl 0.000 0.000 0.500 (multiplicity 2)
Cl 0.128 0.707 0.269 (multiplicity 4)
Cl 0.248 0.071 0.104 (multiplicity 4)
Cl 0.403 0.155 0.520 (multiplicity 4)

The 10 most intense peaks (2θ = 10–80°), most intense first:
d = 4.244 Å, I 100; d = 4.728 Å, I 61; d = 2.965 Å, I 27; d = 2.098 Å, I 27; d = 2.911 Å, I 25; d = 3.464 Å, I 22; d = 2.175 Å, I 21; d = 3.712 Å, I 20; d = 3.107 Å, I 20; d = 3.288 Å, I 19

Entry 2:
The following is a computed powder diffraction line list of Pm7PrSm4. It was derived from DFT lattice parameters and positions (PBE), using Cu Kα.
Intensities are scaled so that the largest is 100.

Structural model:
Lattice parameters (Å, degrees): 6.364 7.356 9.079 89.94 76.46 89.98
Space group P-1 (No. 2)
One atom of each set of equivalent atoms:
Pm 0.000 0.000 0.000 (multiplicity 1)
Pm 0.222 0.500 0.333 (multiplicity 2)
Pm 0.279 0.249 0.666 (multiplicity 2)
Pm 0.500 0.249 0.000 (multiplicity 2)
Pr 0.000 0.500 0.000 (multiplicity 1)
Sm 0.221 0.000 0.333 (multiplicity 2)
Sm 0.278 0.751 0.667 (multiplicity 2)

The 10 most intense peaks (2θ = 10–80°), most intense first:
d = 2.869 Å, I 100; d = 2.729 Å, I 87; d = 2.942 Å, I 50; d = 1.559 Å, I 45; d = 1.838 Å, I 39; d = 3.161 Å, I 36; d = 1.716 Å, I 22; d = 1.626 Å, I 18; d = 1.548 Å, I 16; d = 3.095 Å, I 16